(1)
MnTcOs: computed X-ray diffraction stick pattern (a wavelength of 1.5418 Å), based on a DFT-relaxed cell (PBE, Alexandria).
Peak positions follow from Bragg's law for the DFT cell and can differ from measured ones.

```
data_MnTcOs
_chemical_formula_sum 'Mn2 Tc2 Os2'
_cell_length_a 2.685
_cell_length_b 2.685
_cell_length_c 11.134
_cell_angle_alpha 90.00
_cell_angle_beta 90.00
_cell_angle_gamma 90.00
_symmetry_space_group_name_H-M 'I 4 m m'
_symmetry_Int_Tables_number 107
_symmetry_space_group_name_Hall 'I 4 -2'
loop_
_atom_site_label
_atom_site_type_symbol
_atom_site_fract_x
_atom_site_fract_y
_atom_site_fract_z
Mn1 Mn 0.000 0.000 0.000
Tc1 Tc 0.000 0.000 0.663
Os1 Os 0.000 0.000 0.344
```

Top 8 peaks for 5 to 70 degrees two-theta, in order of rising 2θ:
2θ (°)	d [Å]	I/Imax	h k l
15.92	5.567	23	0 0 2
32.16	2.783	9	0 0 4
34.36	2.610	21	1 0 1
41.51	2.175	100	1 0 3
47.92	1.898	33	1 1 0
49.10	1.856	15	0 0 6
58.88	1.568	7	1 1 4
68.58	1.368	6	1 0 7

(2)
Mn2TeOs: computed X-ray diffraction stick pattern (a wavelength of 1.5418 Å), based on a DFT-relaxed cell (PBE, Alexandria).
Peak positions follow from Bragg's law for the DFT cell and can differ from measured ones.

```
data_Mn2TeOs
_chemical_formula_sum 'Mn2 Te1 Os1'
_cell_length_a 3.004
_cell_length_b 3.781
_cell_length_c 5.532
_cell_angle_alpha 90.00
_cell_angle_beta 90.16
_cell_angle_gamma 90.00
_symmetry_space_group_name_H-M 'P 1 2/m 1'
_symmetry_Int_Tables_number 10
_symmetry_space_group_name_Hall '-P 2y'
loop_
_atom_site_label
_atom_site_type_symbol
_atom_site_fract_x
_atom_site_fract_y
_atom_site_fract_z
Mn1 Mn 0.001 0.000 0.216
Te1 Te 0.500 0.500 0.500
Os1 Os 0.500 0.500 0.000
```

Top 8 peaks for 5 to 70 degrees two-theta, in order of rising 2θ:
2θ (°)	d [Å]	I/Imax	h k l
23.53	3.781	38	0 1 0
29.74	3.004	21	1 0 0
38.27	2.352	100	1 1 0
40.40	2.232	82	0 1 2
44.46	2.038	31	1 0 -2
44.59	2.032	31	1 0 2
48.13	1.890	26	0 2 0
67.65	1.385	35	1 2 2

(3)
Mn2TeOs: computed X-ray diffraction stick pattern (a wavelength of 1.5418 Å), based on a DFT-relaxed cell (PBE, Alexandria).
Peak positions follow from Bragg's law for the DFT cell and can differ from measured ones.

```
data_Mn2TeOs
_chemical_formula_sum 'Mn4 Te2 Os2'
_cell_length_a 3.975
_cell_length_b 3.975
_cell_length_c 8.041
_cell_angle_alpha 90.00
_cell_angle_beta 90.00
_cell_angle_gamma 90.00
_symmetry_space_group_name_H-M 'I 4/m m m'
_symmetry_Int_Tables_number 139
_symmetry_space_group_name_Hall '-I 4 2'
loop_
_atom_site_label
_atom_site_type_symbol
_atom_site_fract_x
_atom_site_fract_y
_atom_site_fract_z
Mn1 Mn 0.000 0.500 0.250
Te1 Te 0.000 0.000 0.000
Os1 Os 0.000 0.000 0.500
```

Top 8 peaks for 5 to 70 degrees two-theta, in order of rising 2θ:
2θ (°)	d [Å]	I/Imax	h k l
22.11	4.020	23	0 0 2
31.84	2.811	19	1 1 0
39.10	2.304	100	1 1 2
45.10	2.010	17	0 0 4
45.65	1.987	32	2 0 0
51.28	1.782	11	2 0 2
66.11	1.413	21	2 0 4
66.54	1.405	10	2 2 0

(4)
TiMn2Os: computed X-ray diffraction stick pattern (a wavelength of 1.5418 Å), based on a DFT-relaxed cell (PBE, Alexandria).
Peak positions follow from Bragg's law for the DFT cell and can differ from measured ones.

```
data_TiMn2Os
_chemical_formula_sum 'Ti1 Mn2 Os1'
_cell_length_a 4.262
_cell_length_b 4.262
_cell_length_c 2.908
_cell_angle_alpha 90.00
_cell_angle_beta 90.00
_cell_angle_gamma 90.00
_symmetry_space_group_name_H-M 'P 4/m m m'
_symmetry_Int_Tables_number 123
_symmetry_space_group_name_Hall '-P 4 2'
loop_
_atom_site_label
_atom_site_type_symbol
_atom_site_fract_x
_atom_site_fract_y
_atom_site_fract_z
Ti1 Ti 0.000 0.000 0.000
Mn1 Mn 0.000 0.500 0.500
Os1 Os 0.500 0.500 0.000
```

Top 8 peaks for 5 to 70 degrees two-theta, in order of rising 2θ:
2θ (°)	d [Å]	I/Imax	h k l
20.84	4.262	52	1 0 0
29.65	3.013	17	1 1 0
37.44	2.402	25	1 0 1
42.42	2.131	53	2 0 0
43.24	2.092	100	1 1 1
47.72	1.906	13	2 1 0
57.85	1.594	15	2 1 1
61.55	1.507	17	2 2 0